# 1
Starting from a structure optimized by DFT (PBE), the X-ray diffraction stick pattern of K2GaCuF6 was simulated for Cu Kα.

Cell and atoms:
Unit cell a=8.3401 b=8.3401 c=8.3401 alpha=90.00 beta=90.00 gamma=90.00
Space group Fm-3m (No. 225)
Symmetry-distinct sites (fractional):
K1 0.2500 0.2500 0.2500
Ga1 0.0000 0.0000 0.0000
Cu1 0.0000 0.0000 0.5000
F1 0.0000 0.0000 0.2325

Largest 8 diffraction maxima, low angle first, 2θ from 10° to 80°:
Position (°2θ), I/Imax
21.3, 35
30.3, 100
43.4, 58
48.8, 15
53.9, 36
63.1, 32
71.6, 16
79.6, 10

# 2
Starting from a structure optimized by DFT (PBE), the X-ray diffraction stick pattern of LiTi2Zn2P2O10 was simulated for Cu Kα.

Cell and atoms:
Unit cell a=5.4349 b=5.7156 c=7.5094 alpha=108.64 beta=108.69 gamma=92.95
Space group P1 (No. 1)
Symmetry-distinct sites (fractional):
Li1 0.0000 0.0000 0.0000
Ti1 0.7953 0.6718 0.6234
Ti2 0.8241 0.6547 0.1394
Zn1 0.1226 0.3741 0.8303
Zn2 0.5723 0.0422 0.3743
P1 0.1575 0.2827 0.3795
P2 0.4717 0.0599 0.9003
O1 0.0501 0.3762 0.2036
O2 0.1436 0.9919 0.2868
O3 0.1628 0.9853 0.7905
O4 0.4608 0.3770 0.4981
O5 0.4980 0.3549 0.9786
O6 0.5679 0.9572 0.0746
O7 0.6354 0.9804 0.7647
O8 0.7270 0.7543 0.3819
O9 0.9108 0.6215 0.8933
O10 0.9965 0.3462 0.5234

Largest 8 diffraction maxima, low angle first, 2θ from 10° to 80°:
Position (°2θ), I/Imax
26.1, 28
26.3, 100
27.5, 13
35.2, 32
36.6, 23
38.0, 12
51.4, 13
52.6, 12

# 3
Starting from a structure optimized by DFT (PBE), the X-ray diffraction stick pattern of Al2ZnSe2S2 was simulated for Cu Kα.

Cell and atoms:
Unit cell a=7.6879 b=10.6814 c=5.4922 alpha=90.00 beta=134.08 gamma=90.00
Space group C2 (No. 5)
Symmetry-distinct sites (fractional):
Al1 0.0000 0.0000 0.0000
Al2 0.0000 0.2397 0.5000
Zn1 0.0000 0.4993 0.0000
Se1 0.2319 0.8635 0.4882
S1 0.2363 0.1249 0.9878

Largest 8 diffraction maxima, low angle first, 2θ from 10° to 80°:
Position (°2θ), I/Imax
16.6, 23
18.1, 16
23.1, 29
28.1, 100
28.6, 84
46.0, 21
47.3, 56
47.5, 38

# 4
Starting from a structure optimized by DFT (PBE), the X-ray diffraction stick pattern of NdPS was simulated for Cu Kα.

Cell and atoms:
Unit cell a=5.5728 b=5.5015 c=17.2523 alpha=90.00 beta=90.00 gamma=90.00
Space group Pnma (No. 62)
Symmetry-distinct sites (fractional):
Nd1 0.0160 0.2500 0.1375
Nd2 0.0159 0.7500 0.3532
P1 0.1964 0.0424 0.5026
S1 0.0123 0.7500 0.1830
S2 0.0151 0.2500 0.3109

Largest 8 diffraction maxima, low angle first, 2θ from 10° to 80°:
Position (°2θ), I/Imax
20.6, 29
25.0, 100
31.1, 22
32.1, 22
32.6, 23
38.5, 28
38.8, 72
46.4, 26

# 5
Starting from a structure optimized by DFT (PBE), the X-ray diffraction stick pattern of TiAlPt was simulated for Cu Kα.

Cell and atoms:
Unit cell a=4.4503 b=4.4503 c=5.4123 alpha=90.00 beta=90.00 gamma=120.00
Space group P6_3/mmc (No. 194)
Symmetry-distinct sites (fractional):
Ti1 0.0000 0.0000 0.0000
Al1 0.3333 0.6667 0.2500
Pt1 0.3333 0.6667 0.7500

Largest 8 diffraction maxima, low angle first, 2θ from 10° to 80°:
Position (°2θ), I/Imax
28.4, 100
33.1, 16
40.5, 68
40.7, 46
50.3, 22
53.3, 27
56.3, 15
66.5, 19

# 6
Starting from a structure optimized by DFT (PBE), the X-ray diffraction stick pattern of NaLaYSbO6 was simulated for Cu Kα.

Cell and atoms:
Unit cell a=8.3291 b=8.3291 c=8.3291 alpha=90.00 beta=90.00 gamma=90.00
Space group F-43m (No. 216)
Symmetry-distinct sites (fractional):
Na1 0.0000 0.0000 0.0000
La1 0.0000 0.0000 0.5000
Y1 0.2500 0.2500 0.7500
Sb1 0.2500 0.2500 0.2500
O1 0.0125 0.2500 0.2500

Largest 8 diffraction maxima, low angle first, 2θ from 10° to 80°:
Position (°2θ), I/Imax
18.5, 27
21.3, 8
30.4, 100
35.8, 15
43.5, 35
53.9, 40
63.1, 21
71.7, 17

# 7
Starting from a structure optimized by DFT (PBE), the X-ray diffraction stick pattern of CsBr3 was simulated for Cu Kα.

Cell and atoms:
Unit cell a=10.2773 b=6.8711 c=9.8682 alpha=90.00 beta=90.00 gamma=90.00
Space group Pnma (No. 62)
Symmetry-distinct sites (fractional):
Cs1 0.1850 0.2500 0.0424
Br1 0.0569 0.7500 0.2659
Br2 0.1266 0.2500 0.5640
Br3 0.1782 0.7500 0.8877

Largest 8 diffraction maxima, low angle first, 2θ from 10° to 80°:
Position (°2θ), I/Imax
23.4, 51
23.8, 49
25.0, 33
25.9, 100
28.2, 74
30.1, 26
34.4, 41
36.3, 25

# 8
Starting from a structure optimized by DFT (PBE), the X-ray diffraction stick pattern of K2TeH6SeO10 was simulated for Cu Kα.

Cell and atoms:
Unit cell a=11.7524 b=6.5322 c=14.1030 alpha=90.00 beta=106.84 gamma=90.00
Space group C2/c (No. 15)
Symmetry-distinct sites (fractional):
K1 0.1500 0.2148 0.1444
Te1 0.2500 0.2500 0.5000
H1 0.0970 0.4778 0.9330
H2 0.1078 0.0127 0.3910
H3 0.1588 0.2837 0.6364
Se1 0.0000 0.2792 0.7500
O1 0.0310 0.4235 0.6616
O2 0.0976 0.1136 0.4424
O3 0.1192 0.1329 0.7990
O4 0.1700 0.4853 0.9914
O5 0.2304 0.2065 0.6328

Largest 8 diffraction maxima, low angle first, 2θ from 10° to 80°:
Position (°2θ), I/Imax
17.4, 25
17.9, 54
23.4, 100
26.5, 45
27.3, 17
36.2, 16
38.6, 14
47.8, 17

# 9
Starting from a structure optimized by DFT (PBE), the X-ray diffraction stick pattern of Ir3S8 was simulated for Cu Kα.

Cell and atoms:
Unit cell a=8.0494 b=8.0494 c=9.9982 alpha=90.00 beta=90.00 gamma=120.00
Space group R-3 (No. 148, hexagonal axes)
Symmetry-distinct sites (fractional):
Ir1 0.0000 0.5000 0.0000
S1 0.0000 0.0000 0.3727
S2 0.0209 0.7572 0.8686

Largest 8 diffraction maxima, low angle first, 2θ from 10° to 80°:
Position (°2θ), I/Imax
15.5, 50
21.9, 28
27.1, 77
31.3, 100
35.2, 30
44.6, 34
45.1, 34
53.2, 53